# Fe3O4
Calculated XRD peak list, Cu Kα (λ = 1.5418 Å). Input: a cell relaxed with PBE+U.

Atomic structure:
Unit cell a=6.0855 b=17.1623 c=6.0620 alpha=90.00 beta=90.00 gamma=90.00
Space group Pbcm (No. 57)
One atom of each set of equivalent atoms:
Fe 0.0000 0.0000 0.0000 [4 per cell]
Fe 0.0116 0.1884 0.2500 [4 per cell]
Fe 0.2442 0.6235 0.7500 [4 per cell]
Fe 0.2514 0.1221 0.7500 [4 per cell]
Fe 0.4912 0.7500 0.0000 [4 per cell]
Fe 0.4972 0.0636 0.2500 [4 per cell]
O 0.0138 0.1274 0.5141 [8 per cell]
O 0.2432 0.5012 0.7500 [4 per cell]
O 0.2535 0.0050 0.7500 [4 per cell]
O 0.2623 0.7489 0.2500 [4 per cell]
O 0.2767 0.2451 0.7500 [4 per cell]
O 0.4962 0.1309 0.5123 [8 per cell]

The 6 most intense peaks (15 to 90 degrees two-theta), low angle first:
- 2θ 29.41, d = 3.037 Å, I 23, (1 4 1)
- 2θ 34.65, d = 2.589 Å, I 100, (1 6 0)
- 2θ 42.09, d = 2.147 Å, I 21, (2 0 2)
- 2θ 55.55, d = 1.654 Å, I 12, (3 2 2)
- 2θ 55.65, d = 1.651 Å, I 21, (2 2 3)
- 2θ 61.08, d = 1.517 Å, I 38, (0 0 4)

# Fe3O4
Calculated XRD peak list, Cu Kα (λ = 1.5418 Å). Input: a cell relaxed with PBE+U.

Atomic structure:
Unit cell a=6.1193 b=6.0572 c=8.5625 alpha=90.00 beta=90.41 gamma=90.00
Space group P2/m (No. 10)
One atom of each set of equivalent atoms:
Fe 0.0000 0.0000 0.0000 [1 per cell]
Fe 0.0000 0.5000 0.5000 [1 per cell]
Fe 0.2447 0.0000 0.6278 [2 per cell]
Fe 0.2513 0.5000 0.8737 [2 per cell]
Fe 0.2524 0.2520 0.2529 [4 per cell]
Fe 0.5000 0.0000 0.0000 [1 per cell]
Fe 0.5000 0.5000 0.5000 [1 per cell]
O 0.0049 0.5000 0.2586 [2 per cell]
O 0.0114 0.0000 0.2387 [2 per cell]
O 0.2415 0.2615 0.4969 [4 per cell]
O 0.2489 0.2300 0.0040 [4 per cell]
O 0.4889 0.5000 0.2464 [2 per cell]
O 0.4972 0.0000 0.2408 [2 per cell]

The 6 most intense peaks (15 to 90 degrees two-theta), low angle first:
- 2θ 34.41, d = 2.607 Å, I 49, (2 1 -1)
- 2θ 34.55, d = 2.596 Å, I 72, (2 1 1)
- 2θ 34.67, d = 2.587 Å, I 100, (1 2 -1)
- 2θ 34.76, d = 2.581 Å, I 75, (0 1 3)
- 2θ 60.88, d = 1.522 Å, I 45, (2 2 -4)
- 2θ 61.22, d = 1.514 Å, I 67, (2 2 4)

# Fe10O11
Calculated XRD peak list, Cu Kα (λ = 1.5418 Å). Input: a cell relaxed with PBE+U.

Atomic structure:
Unit cell a=5.3538 b=6.8074 c=6.8797 alpha=107.41 beta=98.42 gamma=104.79
Space group P-1 (No. 2)
One atom of each set of equivalent atoms:
Fe 0.0569 0.1838 0.4155 [2 per cell]
Fe 0.1492 0.5559 0.2355 [2 per cell]
Fe 0.2262 0.9037 0.0601 [2 per cell]
Fe 0.3296 0.2670 0.8611 [2 per cell]
Fe 0.4136 0.6545 0.6824 [2 per cell]
O 0.0000 0.5000 0.5000 [1 per cell]
O 0.0749 0.8750 0.3282 [2 per cell]
O 0.1743 0.2246 0.1525 [2 per cell]
O 0.2595 0.5758 0.9487 [2 per cell]
O 0.3317 0.9452 0.7859 [2 per cell]
O 0.4378 0.3362 0.5937 [2 per cell]

The 6 most intense peaks (15 to 90 degrees two-theta), low angle first:
- 2θ 35.49, d = 2.529 Å, I 47, (-2 1 1)
- 2θ 36.03, d = 2.493 Å, I 87, (0 1 2)
- 2θ 41.29, d = 2.187 Å, I 100, (1 1 -3)
- 2θ 41.72, d = 2.165 Å, I 98, (2 0 1)
- 2θ 41.92, d = 2.155 Å, I 96, (1 -3 0)
- 2θ 60.60, d = 1.528 Å, I 53, (1 -1 4)

# Fe3O4
Calculated XRD peak list, Cu Kα (λ = 1.5418 Å). Input: a cell relaxed with PBE+U.

Atomic structure:
Unit cell a=3.0128 b=10.0569 c=10.4611 alpha=90.00 beta=90.01 gamma=90.00
Space group P2_1 (No. 4)
One atom of each set of equivalent atoms:
Fe 0.2208 0.0000 0.4992 [2 per cell]
Fe 0.2279 0.7468 0.9999 [2 per cell]
Fe 0.2532 0.0031 0.1760 [2 per cell]
Fe 0.2543 0.0043 0.8233 [2 per cell]
Fe 0.2540 0.7425 0.3233 [2 per cell]
Fe 0.2536 0.7439 0.6771 [2 per cell]
O 0.2472 0.1102 0.6484 [2 per cell]
O 0.2475 0.6340 0.1476 [2 per cell]
O 0.2471 0.8092 0.4992 [2 per cell]
O 0.2471 0.9348 0.9988 [2 per cell]
O 0.2477 0.1117 0.3489 [2 per cell]
O 0.2482 0.3715 0.7508 [2 per cell]
O 0.2481 0.6329 0.8526 [2 per cell]
O 0.2500 0.3722 0.2512 [2 per cell]

The 6 most intense peaks (15 to 90 degrees two-theta), low angle first:
- 2θ 30.99, d = 2.886 Å, I 61, (1 1 0)
- 2θ 31.21, d = 2.865 Å, I 100, (0 2 3)
- 2θ 40.25, d = 2.241 Å, I 44, (1 3 0)
- 2θ 40.58, d = 2.223 Å, I 31, (1 1 3)
- 2θ 48.28, d = 1.885 Å, I 36, (1 3 3)
- 2θ 61.50, d = 1.508 Å, I 43, (2 0 0)

# Fe13O15
Calculated XRD peak list, Cu Kα (λ = 1.5418 Å). Input: a cell relaxed with PBE+U.

Atomic structure:
Unit cell a=5.3042 b=6.8835 c=9.0672 alpha=72.64 beta=74.06 gamma=83.69
Space group P-1 (No. 2)
One atom of each set of equivalent atoms:
Fe 0.0000 0.0000 0.0000 [1 per cell]
Fe 0.1173 0.7743 0.4753 [2 per cell]
Fe 0.1971 0.2100 0.2058 [2 per cell]
Fe 0.2525 0.5983 0.9382 [2 per cell]
Fe 0.3180 0.0187 0.6706 [2 per cell]
Fe 0.3923 0.4133 0.4009 [2 per cell]
Fe 0.4604 0.7931 0.1374 [2 per cell]
O 0.0000 0.5000 0.5000 [1 per cell]
O 0.0717 0.9251 0.2353 [2 per cell]
O 0.1516 0.2825 0.9848 [2 per cell]
O 0.1984 0.7333 0.7053 [2 per cell]
O 0.2792 0.0953 0.4329 [2 per cell]
O 0.3493 0.4877 0.1638 [2 per cell]
O 0.4124 0.9095 0.8896 [2 per cell]
O 0.4797 0.2831 0.6292 [2 per cell]

The 6 most intense peaks (15 to 90 degrees two-theta), low angle first:
- 2θ 35.65, d = 2.519 Å, I 42, (1 -2 1)
- 2θ 35.92, d = 2.500 Å, I 41, (0 2 3)
- 2θ 41.25, d = 2.189 Å, I 100, (-2 1 1)
- 2θ 41.73, d = 2.165 Å, I 92, (1 3 1)
- 2θ 42.31, d = 2.136 Å, I 94, (1 0 4)
- 2θ 60.64, d = 1.527 Å, I 78, (-1 1 5)

# Fe23O32
Calculated XRD peak list, Cu Kα (λ = 1.5418 Å). Input: a cell relaxed with PBE+U.

Atomic structure:
Unit cell a=8.4186 b=8.4503 c=8.4613 alpha=90.40 beta=90.07 gamma=90.17
Space group P1 (No. 1)
One atom of each set of equivalent atoms:
Fe 0.0000 0.0000 0.0000 [1 per cell]
Fe 0.0003 0.5037 0.4927 [1 per cell]
Fe 0.1226 0.8778 0.6176 [1 per cell]
Fe 0.1240 0.1257 0.3726 [1 per cell]
Fe 0.1245 0.6258 0.8717 [1 per cell]
Fe 0.1276 0.3767 0.1229 [1 per cell]
Fe 0.2499 0.7546 0.2568 [1 per cell]
Fe 0.2536 0.2472 0.7439 [1 per cell]
Fe 0.3732 0.8764 0.8727 [1 per cell]
Fe 0.3741 0.6274 0.6207 [1 per cell]
Fe 0.3748 0.3773 0.3733 [1 per cell]
Fe 0.3758 0.1283 0.1242 [1 per cell]
Fe 0.4921 0.0044 0.4968 [1 per cell]
Fe 0.5008 0.5030 0.0000 [1 per cell]
Fe 0.6286 0.3783 0.6203 [1 per cell]
Fe 0.6307 0.1285 0.8735 [1 per cell]
Fe 0.6309 0.6355 0.3767 [1 per cell]
Fe 0.6346 0.8814 0.1307 [1 per cell]
Fe 0.7584 0.2557 0.2504 [1 per cell]
Fe 0.7591 0.7549 0.7514 [1 per cell]
Fe 0.8763 0.1182 0.6146 [1 per cell]
Fe 0.8789 0.3777 0.8730 [1 per cell]
Fe 0.8785 0.6297 0.1276 [1 per cell]
O 0.1152 0.6195 0.1301 [1 per cell]
O 0.1228 0.1156 0.6092 [1 per cell]
O 0.1280 0.1352 0.1373 [1 per cell]
O 0.1283 0.6421 0.6185 [1 per cell]
O 0.1342 0.3724 0.8857 [1 per cell]
O 0.1363 0.8804 0.8566 [1 per cell]
O 0.1408 0.3635 0.3678 [1 per cell]
O 0.1429 0.8973 0.3911 [1 per cell]
O 0.3626 0.1437 0.3689 [1 per cell]
O 0.3627 0.8723 0.6320 [1 per cell]
O 0.3690 0.3759 0.1380 [1 per cell]
O 0.3725 0.6340 0.8689 [1 per cell]
O 0.3827 0.3811 0.6066 [1 per cell]
O 0.3828 0.8804 0.1128 [1 per cell]
O 0.3853 0.6104 0.3748 [1 per cell]
O 0.3875 0.1203 0.8784 [1 per cell]
O 0.6061 0.8658 0.3638 [1 per cell]
O 0.6102 0.3837 0.3797 [1 per cell]
O 0.6157 0.8891 0.8788 [1 per cell]
O 0.6202 0.3669 0.8627 [1 per cell]
O 0.6253 0.1212 0.1154 [1 per cell]
O 0.6257 0.6206 0.6149 [1 per cell]
O 0.6283 0.1331 0.6310 [1 per cell]
O 0.6387 0.6336 0.1305 [1 per cell]
O 0.8639 0.3764 0.6253 [1 per cell]
O 0.8640 0.6133 0.3530 [1 per cell]
O 0.8660 0.8583 0.1126 [1 per cell]
O 0.8665 0.1305 0.8754 [1 per cell]
O 0.8792 0.6245 0.8925 [1 per cell]
O 0.8873 0.3934 0.1207 [1 per cell]
O 0.8959 0.8815 0.6355 [1 per cell]
O 0.8968 0.1417 0.3745 [1 per cell]

The 6 most intense peaks (15 to 90 degrees two-theta), low angle first:
- 2θ 29.97, d = 2.981 Å, I 47, (0 2 2)
- 2θ 35.14, d = 2.553 Å, I 64, (1 1 -3)
- 2θ 35.30, d = 2.543 Å, I 100, (-3 1 1)
- 2θ 42.78, d = 2.114 Å, I 23, (0 4 0)
- 2θ 62.17, d = 1.493 Å, I 27, (4 -4 0)
- 2θ 62.30, d = 1.490 Å, I 26, (4 0 4)

# Fe7O9
Calculated XRD peak list, Cu Kα (λ = 1.5418 Å). Input: a cell relaxed with PBE+U.

Atomic structure:
Unit cell a=8.5848 b=8.6202 c=8.7778 alpha=89.30 beta=88.95 gamma=89.39
Space group P1 (No. 1)
One atom of each set of equivalent atoms:
Fe 0.0000 0.0000 0.0000 [1 per cell]
Fe 0.0045 0.7740 0.7221 [1 per cell]
Fe 0.1257 0.3534 0.8948 [1 per cell]
Fe 0.1440 0.8349 0.3748 [1 per cell]
Fe 0.2442 0.1907 0.5127 [1 per cell]
Fe 0.2479 0.4686 0.2375 [1 per cell]
Fe 0.2750 0.7265 0.9941 [1 per cell]
Fe 0.3341 0.1148 0.1071 [1 per cell]
Fe 0.3746 0.6307 0.6455 [1 per cell]
Fe 0.4580 0.2262 0.7808 [1 per cell]
Fe 0.5086 0.9577 0.5509 [1 per cell]
Fe 0.5148 0.6818 0.2669 [1 per cell]
Fe 0.6161 0.3314 0.4144 [1 per cell]
Fe 0.6396 0.8610 0.9070 [1 per cell]
Fe 0.6986 0.5144 0.7651 [1 per cell]
Fe 0.7265 0.2240 0.0488 [1 per cell]
Fe 0.7737 0.9283 0.2794 [1 per cell]
Fe 0.8612 0.5622 0.1081 [1 per cell]
Fe 0.8828 0.0866 0.6060 [1 per cell]
Fe 0.9611 0.4783 0.4784 [1 per cell]
Fe 0.9979 0.2160 0.2680 [1 per cell]
O 0.0088 0.9806 0.2623 [1 per cell]
O 0.0131 0.2475 0.4973 [1 per cell]
O 0.0421 0.6797 0.5080 [1 per cell]
O 0.1624 0.5298 0.0237 [1 per cell]
O 0.2138 0.9439 0.0221 [1 per cell]
O 0.2206 0.7183 0.7811 [1 per cell]
O 0.2286 0.2670 0.7184 [1 per cell]
O 0.2358 0.2347 0.2789 [1 per cell]
O 0.2656 0.9692 0.4970 [1 per cell]
O 0.2739 0.7086 0.2460 [1 per cell]
O 0.4772 0.1953 0.5213 [1 per cell]
O 0.4836 0.4628 0.2987 [1 per cell]
O 0.4900 0.4643 0.7496 [1 per cell]
O 0.4925 0.7447 0.4827 [1 per cell]
O 0.4976 0.7422 0.0321 [1 per cell]
O 0.5122 0.2073 0.0073 [1 per cell]
O 0.5280 0.9876 0.7668 [1 per cell]
O 0.7251 0.9819 0.4921 [1 per cell]
O 0.7380 0.7049 0.2359 [1 per cell]
O 0.7543 0.2270 0.2685 [1 per cell]
O 0.7573 0.4358 0.5577 [1 per cell]
O 0.7666 0.9884 0.0415 [1 per cell]
O 0.7781 0.7156 0.8033 [1 per cell]
O 0.7802 0.4190 0.9456 [1 per cell]
O 0.9645 0.9909 0.7863 [1 per cell]
O 0.9903 0.2181 0.0379 [1 per cell]
O 0.9920 0.4543 0.2667 [1 per cell]

The 6 most intense peaks (15 to 90 degrees two-theta), low angle first:
- 2θ 29.22, d = 3.057 Å, I 42, (0 2 -2)
- 2θ 33.98, d = 2.638 Å, I 38, (1 -1 3)
- 2θ 34.15, d = 2.626 Å, I 67, (-1 1 3)
- 2θ 34.27, d = 2.617 Å, I 47, (3 1 1)
- 2θ 34.53, d = 2.597 Å, I 100, (3 -1 1)
- 2θ 34.67, d = 2.588 Å, I 60, (3 1 -1)

# FeO
Calculated XRD peak list, Cu Kα (λ = 1.5418 Å). Input: a cell relaxed with PBE+U.

Atomic structure:
Unit cell a=3.4033 b=3.4033 c=10.7177 alpha=90.00 beta=90.00 gamma=120.00
Space group P6_3mc (No. 186)
One atom of each set of equivalent atoms:
Fe 0.0000 0.0000 0.0000 [2 per cell]
Fe 0.3333 0.6667 0.2481 [2 per cell]
O 0.0000 0.0000 0.3035 [2 per cell]
O 0.3333 0.6667 0.0538 [2 per cell]

The 6 most intense peaks (15 to 90 degrees two-theta), low angle first:
- 2θ 31.48, d = 2.842 Å, I 88, (1 0 1)
- 2θ 33.44, d = 2.679 Å, I 61, (0 0 4)
- 2θ 34.74, d = 2.583 Å, I 100, (1 0 2)
- 2θ 53.88, d = 1.702 Å, I 56, (1 1 0)
- 2θ 60.62, d = 1.528 Å, I 35, (1 0 6)
- 2θ 64.92, d = 1.436 Å, I 44, (1 1 4)

Number 3 is which compound?
Fe10O11